For Ba2Sr6Co5Cu3O24, the GGA+U geometry in the Materials Project gives the theoretical X-ray powder pattern in this record (a wavelength of 1.5418 Å).
No peak broadening, texture or thermal motion is included.

The 10 most intense peaks (2θ = 10–90°), in order of rising 2θ:
two_theta  I/Imax  index
32.1  51.0  0 2 2
32.3  100.0  2 0 2
39.8  17.4  2 2 2
46.0  36.8  0 0 4
46.8  17.4  4 0 0
57.3  38.4  2 4 2
57.8  18.5  4 2 2
67.1  10.6  0 4 4
67.7  20.5  4 0 4
85.7  10.3  4 4 4

Cell and atoms:
Cell lengths 7.7702, 7.9000, 7.8909 Å; angles 90.00, 90.07, 90.00 degrees
Element x y z (fractional)
Ba: 0.2484 0.0000 0.2502
Ba: 0.7516 0.0000 0.7498
Sr: 0.2480 0.5059 0.2501
Sr: 0.2491 0.5054 0.7498
Sr: 0.2493 0.9975 0.7498
Sr: 0.7509 0.5054 0.2502
Sr: 0.7507 0.9975 0.2502
Sr: 0.7520 0.5059 0.7499
Co: 0.0000 0.2587 0.5000
Co: 0.5000 0.2540 0.0000
Co: 0.5000 0.2547 0.5000
Co: 0.5000 0.7491 0.0000
Co: 0.5000 0.7498 0.5000
Cu: 0.0000 0.2534 0.0000
Cu: 0.0000 0.7510 0.0000
Cu: 0.0000 0.7526 0.5000
O: 0.0000 0.0019 0.0000
O: 0.0000 0.5022 0.0000
O: 0.0000 0.5063 0.5000
O: 0.0000 0.9991 0.5000
O: 0.0047 0.2596 0.7519
O: 0.0062 0.7406 0.7505
O: 0.2329 0.2575 0.5002
O: 0.2602 0.7473 0.5030
O: 0.2610 0.7465 0.9969
O: 0.2658 0.2578 0.9968
O: 0.4977 0.2571 0.7288
O: 0.4990 0.7434 0.7494
O: 0.5000 0.0033 0.0000
O: 0.5000 0.0025 0.5000
O: 0.5000 0.5002 0.0000
O: 0.5000 0.5020 0.5000
O: 0.5010 0.7434 0.2506
O: 0.5023 0.2571 0.2712
O: 0.7342 0.2578 0.0032
O: 0.7390 0.7465 0.0031
O: 0.7398 0.7473 0.4970
O: 0.7671 0.2575 0.4998
O: 0.9938 0.7406 0.2495
O: 0.9953 0.2596 0.2481